1.
Starting from a crystal structure in Alexandria, relaxed with PBE, the powder XRD pattern of SrLi9Mg4 was computed for Cu Kα (weighted mean of Kα1 and Kα2).
Kinematic intensities with the Lorentz-polarization factor, no thermal factor.

Structural model:
Lattice parameters (Å, degrees): 9.8212 9.8212 13.5051 90.00 90.00 90.00
Space group I4/mcm (No. 140)
Asymmetric unit:
1 Sr 0.0000 0.0000 0.2500 (multiplicity 4)
2 Li 0.0000 0.5000 0.0000 (multiplicity 4)
3 Li 0.0544 0.2028 0.0000 (multiplicity 16)
4 Li 0.1106 0.3894 0.1764 (multiplicity 16)
5 Mg 0.1863 0.3137 0.3777 (multiplicity 16)

Most intense lines, 2θ from 5° to 70°, in order of falling intensity:
- 2θ 32.17, I = 100
- 2θ 18.33, I = 97
- 2θ 31.71, I = 82
- 2θ 28.74, I = 76
- 2θ 22.39, I = 73
- 2θ 25.66, I = 58
- 2θ 12.75, I = 58
- 2θ 29.42, I = 55
- 2θ 28.91, I = 45
- 2θ 13.11, I = 38



2.
Starting from a crystal structure in Alexandria, relaxed with PBE, the powder XRD pattern of Ac3Te2Os was computed for Cu Kα (weighted mean of Kα1 and Kα2).
Kinematic intensities with the Lorentz-polarization factor, no thermal factor.

Structural model:
Lattice parameters (Å, degrees): 9.4457 13.1823 27.3396 90.00 90.00 90.00
Space group Fddd (No. 70, origin choice 2)
Asymmetric unit:
1 Ac 0.0836 0.3750 0.3750 (multiplicity 16)
2 Ac 0.1059 0.3578 0.2164 (multiplicity 32)
3 Te 0.1250 0.1250 0.3798 (multiplicity 16)
4 Te 0.1250 0.1250 0.5469 (multiplicity 16)
5 Os 0.1250 0.1250 0.0412 (multiplicity 16)

Most intense lines, 2θ from 5° to 70°, in order of falling intensity:
- 2θ 27.19, I = 100
- 2θ 38.74, I = 73
- 2θ 27.06, I = 53
- 2θ 48.59, I = 21
- 2θ 38.10, I = 20
- 2θ 47.36, I = 18
- 2θ 11.97, I = 18
- 2θ 39.56, I = 18
- 2θ 63.15, I = 14
- 2θ 63.36, I = 13



3.
Starting from a crystal structure in Alexandria, relaxed with PBE, the powder XRD pattern of FeAuBr was computed for Cu Kα (weighted mean of Kα1 and Kα2).
Kinematic intensities with the Lorentz-polarization factor, no thermal factor.

Structural model:
Lattice parameters (Å, degrees): 3.3657 3.3657 6.6464 90.00 90.00 120.00
Space group P3m1 (No. 156)
Asymmetric unit:
1 Fe 0.0000 0.0000 0.0000 (multiplicity 1)
2 Au 0.6667 0.3333 0.2682 (multiplicity 1)
3 Br 0.3333 0.6667 0.7539 (multiplicity 1)

Most intense lines, 2θ from 5° to 70°, in order of falling intensity:
- 2θ 33.57, I = 100
- 2θ 41.20, I = 42
- 2θ 13.32, I = 30
- 2θ 51.84, I = 27
- 2θ 26.83, I = 21
- 2θ 54.53, I = 21
- 2θ 30.67, I = 16
- 2θ 65.58, I = 14
- 2θ 61.79, I = 13
- 2θ 55.29, I = 7



4.
Starting from a crystal structure in Alexandria, relaxed with PBE, the powder XRD pattern of CdInBrCl2 was computed for Cu Kα (weighted mean of Kα1 and Kα2).
Kinematic intensities with the Lorentz-polarization factor, no thermal factor.

Structural model:
Lattice parameters (Å, degrees): 7.1615 7.1615 11.3812 90.00 90.00 90.00
Space group I4cm (No. 108)
Asymmetric unit:
1 Cd 0.0000 0.0000 0.0000 (multiplicity 4)
2 In 0.0000 0.5000 0.2524 (multiplicity 4)
3 Br 0.0000 0.0000 0.2491 (multiplicity 4)
4 Cl 0.1782 0.3218 0.4982 (multiplicity 8)

Most intense lines, 2θ from 5° to 70°, in order of falling intensity:
- 2θ 24.87, I = 100
- 2θ 35.45, I = 64
- 2θ 23.52, I = 58
- 2θ 31.44, I = 57
- 2θ 40.49, I = 56
- 2θ 48.11, I = 52
- 2θ 42.99, I = 41
- 2θ 67.07, I = 34
- 2θ 29.47, I = 30
- 2θ 57.56, I = 27



5.
Starting from a crystal structure in Alexandria, relaxed with PBE, the powder XRD pattern of PmCu2F11 was computed for Cu Kα (weighted mean of Kα1 and Kα2).
Kinematic intensities with the Lorentz-polarization factor, no thermal factor.

Structural model:
Lattice parameters (Å, degrees): 8.8726 8.8864 10.1831 90.00 90.00 90.00
Space group Ibam (No. 72)
Asymmetric unit:
1 Pm 0.0000 0.0000 0.2500 (multiplicity 4)
2 Cu 0.2012 0.2986 0.0000 (multiplicity 8)
3 F 0.0000 0.5000 0.0000 (multiplicity 4)
4 F 0.0905 0.2039 0.1273 (multiplicity 16)
5 F 0.1441 0.3559 0.5000 (multiplicity 8)
6 F 0.2044 0.0907 0.3726 (multiplicity 16)

Most intense lines, 2θ from 5° to 70°, in order of falling intensity:
- 2θ 26.64, I = 100
- 2θ 22.48, I = 96
- 2θ 14.11, I = 68
- 2θ 45.89, I = 36
- 2θ 48.25, I = 34
- 2θ 28.43, I = 29
- 2θ 46.94, I = 27
- 2θ 24.05, I = 25
- 2θ 37.57, I = 20
- 2θ 50.17, I = 17



6.
Starting from a crystal structure in Alexandria, relaxed with PBE, the powder XRD pattern of Ca2PrUAs4 was computed for Cu Kα (weighted mean of Kα1 and Kα2).
Kinematic intensities with the Lorentz-polarization factor, no thermal factor.

Structural model:
Lattice parameters (Å, degrees): 7.2772 4.2473 7.3333 90.00 109.47 90.00
Space group P2/m (No. 10)
Asymmetric unit:
1 Ca 0.0000 0.0000 0.0000 (multiplicity 1)
2 Ca 0.0000 0.5000 0.5000 (multiplicity 1)
3 Pr 0.5000 0.0000 0.5000 (multiplicity 1)
4 U 0.5000 0.5000 0.0000 (multiplicity 1)
5 As 0.2631 0.5000 0.2357 (multiplicity 2)
6 As 0.2692 0.0000 0.7703 (multiplicity 2)

Most intense lines, 2θ from 5° to 70°, in order of falling intensity:
- 2θ 29.85, I = 100
- 2θ 12.89, I = 66
- 2θ 42.92, I = 54
- 2θ 29.96, I = 49
- 2θ 42.68, I = 37
- 2θ 24.62, I = 32
- 2θ 52.94, I = 29
- 2θ 42.57, I = 19
- 2θ 62.02, I = 12
- 2θ 44.77, I = 12



7.
Starting from a crystal structure in Alexandria, relaxed with PBE, the powder XRD pattern of AcHo3 was computed for Cu Kα (weighted mean of Kα1 and Kα2).
Kinematic intensities with the Lorentz-polarization factor, no thermal factor.

Structural model:
Lattice parameters (Å, degrees): 5.1463 5.1463 5.1463 90.00 90.00 90.00
Space group Pm-3m (No. 221)
Asymmetric unit:
1 Ac 0.0000 0.0000 0.0000 (multiplicity 1)
2 Ho 0.0000 0.5000 0.5000 (multiplicity 3)

Most intense lines, 2θ from 5° to 70°, in order of falling intensity:
- 2θ 30.08, I = 100
- 2θ 34.87, I = 51
- 2θ 59.58, I = 44
- 2θ 50.14, I = 37
- 2θ 62.52, I = 13
- 2θ 17.23, I = 2
- 2θ 24.46, I = 2
- 2θ 39.14, I = 1
- 2θ 43.05, I = 1
- 2θ 53.41, I = 1



8.
Starting from a crystal structure in Alexandria, relaxed with PBE, the powder XRD pattern of BiB3O6 was computed for Cu Kα (weighted mean of Kα1 and Kα2).
Kinematic intensities with the Lorentz-polarization factor, no thermal factor.

Structural model:
Lattice parameters (Å, degrees): 18.6292 4.5087 4.3257 90.00 90.00 90.00
Space group Pca2_1 (No. 29)
Asymmetric unit:
1 Bi 0.1625 0.1495 0.0000 (multiplicity 4)
2 B 0.0016 0.8253 0.0837 (multiplicity 4)
3 B 0.0724 0.6712 0.5548 (multiplicity 4)
4 B 0.2128 0.6292 0.5279 (multiplicity 4)
5 O 0.0189 0.8737 0.7301 (multiplicity 4)
6 O 0.0599 0.3624 0.6289 (multiplicity 4)
7 O 0.0679 0.7400 0.2264 (multiplicity 4)
8 O 0.1462 0.7513 0.6618 (multiplicity 4)
9 O 0.2115 0.3049 0.5317 (multiplicity 4)
10 O 0.2245 0.7410 0.2100 (multiplicity 4)

Most intense lines, 2θ from 5° to 70°, in order of falling intensity:
- 2θ 32.09, I = 100
- 2θ 22.66, I = 86
- 2θ 9.49, I = 84
- 2θ 20.26, I = 61
- 2θ 28.15, I = 60
- 2θ 30.20, I = 57
- 2θ 31.14, I = 46
- 2θ 47.80, I = 44
- 2θ 53.05, I = 41
- 2θ 28.75, I = 40



> What is the formula in the fourth record?

CdInBrCl2